For Ce2Br5, a structure optimized by DFT (PBE) gives the calculated powder diffraction line list in this record (CuKα).

Atomic structure:
abc: 8.7629 8.7629 8.0539
angles: 96.53 96.53 46.05
Fractional coordinates of all 14 atoms:
Ce (0.1098, 0.6740, 0.9154)
Ce (0.3260, 0.8902, 0.5846)
Ce (0.6740, 0.1098, 0.4154)
Ce (0.8902, 0.3260, 0.0846)
Br (0.0868, 0.9132, 0.2500)
Br (0.1402, 0.2997, 0.8255)
Br (0.2879, 0.5402, 0.5723)
Br (0.2997, 0.1402, 0.3255)
Br (0.4598, 0.7121, 0.9277)
Br (0.5402, 0.2879, 0.0723)
Br (0.7003, 0.8598, 0.6745)
Br (0.7121, 0.4598, 0.4277)
Br (0.8598, 0.7003, 0.1745)
Br (0.9132, 0.0868, 0.7500)

Top 8 peaks for 2θ = 15–90°, in order of falling intensity:
4.835 Å, intensity 100.0
2.498 Å, intensity 73.4
2.603 Å, intensity 65.6
2.668 Å, intensity 60.0
2.535 Å, intensity 58.2
2.634 Å, intensity 55.8
2.357 Å, intensity 47.8
3.150 Å, intensity 38.4